# 1
Computed powder XRD pattern
Compound: TlPBrF6
Radiation: CuKα
Structure: the GGA-PBE geometry in Alexandria

The 10 most intense peaks (2θ = 10–80°), in order of falling intensity:
two_theta  Rel. int.  h k l
26.6  100  0 0 2
13.2  96  0 0 1
23.2  77  1 1 1
19.4  50  1 0 0
32.4  46  1 -1 0
41.1  43  1 1 3
29.2  38  1 1 -1
42.4  37  2 1 -1
21.1  37  0 1 1
37.7  36  2 1 0

Atomic structure:
a b c (Å): 4.901 4.915 6.973
angles (deg): 74.19 81.84 69.01
Space group P1 (No. 1)
Unique sites:
Tl (0.000, 0.000, 0.000)
P (0.168, 0.313, 0.477)
Br (0.611, 0.636, 0.951)
F (0.101, 0.260, 0.264)
F (0.102, 0.006, 0.605)
F (0.226, 0.624, 0.350)
F (0.238, 0.364, 0.688)
F (0.507, 0.123, 0.444)
F (0.827, 0.503, 0.505)



# 2
Computed powder XRD pattern
Compound: Th3ZnC
Radiation: CuKα
Structure: the GGA-PBE geometry in Alexandria

The 10 most intense peaks (2θ = 10–80°), in order of falling intensity:
two_theta  Rel. int.  h k l
31.3  100  1 0 2
32.0  72  1 1 -1
26.9  51  0 1 -3
34.3  43  0 2 -3
28.2  31  0 2 0
32.3  23  0 1 3
49.8  22  1 2 2
51.5  19  1 1 -5
29.6  18  1 0 -2
48.8  18  2 -1 0

Atomic structure:
a b c (Å): 3.734 6.745 10.479
angles (deg): 101.74 90.06 106.04
Space group P-1 (No. 2)
Unique sites:
Th (0.120, 0.240, 0.198)
Th (0.168, 0.336, 0.608)
Th (0.360, 0.721, 0.092)
Zn (0.471, 0.942, 0.614)
C (0.260, 0.521, 0.848)